(1)
Diffraction record for AlZn6Ag8. The PXRD pattern is calculated, not measured: it uses DFT lattice parameters and positions (PBE) and Cu Kα (weighted mean of Kα1 and Kα2).
No peak broadening, texture or thermal motion is included.

Main lines, low angle first (15° ≤ 2θ ≤ 90°):
hkl  Position (°2θ)  intensity
1 1 0  23.3  191
2 -1 1  28.8  110
0 2 1  31.9  301
1 2 1  39.9  308
3 0 0  41.0  830
2 -1 2  41.3  1000
2 2 2  59.6  235
5 -2 1  63.9  153
5 -4 2  74.9  174
1 1 4  75.4  103

Structure:
Unit cell a=7.6210 b=7.6210 c=5.3425 alpha=90.00 beta=90.00 gamma=120.00
Space group P-3 (No. 147)
Symmetry-distinct sites (fractional):
Al (0.0000, 0.0000, 0.0000)
Zn (0.0243, 0.6676, 0.1074)
Ag (0.0477, 0.3600, 0.3850)
Ag (0.3333, 0.6667, 0.7738)



(2)
Diffraction record for Al2Zn5Ag4. The PXRD pattern is calculated, not measured: it uses DFT lattice parameters and positions (PBE) and Cu Kα (weighted mean of Kα1 and Kα2).
No peak broadening, texture or thermal motion is included.

Main lines, low angle first (15° ≤ 2θ ≤ 90°):
hkl  Position (°2θ)  intensity
1 1 1  35.1  379
0 1 2  36.5  493
1 1 -2  38.4  1000
1 1 2  39.4  680
3 0 -1  40.3  822
2 1 0  40.6  507
1 0 -4  41.0  881
2 0 3  41.3  890
2 1 1  42.4  521
2 1 -2  44.6  370

Structure:
Unit cell a=6.8264 b=2.9277 c=9.1134 alpha=90.00 beta=94.12 gamma=90.00
Space group P2/m (No. 10)
Symmetry-distinct sites (fractional):
Al (0.0611, 0.0000, 0.1420)
Zn (0.2019, 0.0000, 0.6580)
Zn (0.4470, 0.0000, 0.2089)
Zn (0.5000, 0.0000, 0.5000)
Ag (0.1622, 0.5000, 0.3912)
Ag (0.2849, 0.5000, 0.9484)



(3)
Diffraction record for Al3Zn2Ag2. The PXRD pattern is calculated, not measured: it uses DFT lattice parameters and positions (PBE) and Cu Kα (weighted mean of Kα1 and Kα2).
No peak broadening, texture or thermal motion is included.

Main lines, low angle first (15° ≤ 2θ ≤ 90°):
hkl  Position (°2θ)  intensity
0 0 2  18.5  987
0 1 2  26.8  396
1 1 -2  31.2  476
1 1 -3  37.7  428
2 1 0  38.2  1000
2 1 1  39.6  503
0 2 1  40.1  625
1 0 4  41.5  627
2 1 2  43.2  436
1 1 -4  45.4  547

Structure:
Unit cell a=5.4717 b=4.6234 c=9.5851 alpha=90.00 beta=91.40 gamma=90.00
Space group P2_1/c (No. 14)
Symmetry-distinct sites (fractional):
Al (0.0000, 0.0000, 0.0000)
Al (0.2608, 0.0009, 0.4494)
Zn (0.1228, 0.1749, 0.7261)
Ag (0.3921, 0.6706, 0.6709)



(4)
Diffraction record for AlZn3Ag3. The PXRD pattern is calculated, not measured: it uses DFT lattice parameters and positions (PBE) and Cu Kα (weighted mean of Kα1 and Kα2).
No peak broadening, texture or thermal motion is included.

Main lines, low angle first (15° ≤ 2θ ≤ 90°):
hkl  Position (°2θ)  intensity
1 0 1  23.4  113
1 1 1  30.6  58
1 2 0  36.8  263
0 0 2  38.2  287
1 2 1  41.7  1000
1 2 2  54.1  164
4 1 0  66.3  151
1 2 3  71.5  187
4 1 2  79.2  180
2 4 1  81.5  130

Structure:
Unit cell a=7.4569 b=7.4569 c=4.7090 alpha=90.00 beta=90.00 gamma=120.00
Space group P6_3/m (No. 176)
Symmetry-distinct sites (fractional):
Al (0.3333, 0.6667, 0.2500)
Zn (0.0459, 0.8154, 0.2500)
Ag (0.0913, 0.6264, 0.7500)



(5)
Diffraction record for Al3Zn2Ag3. The PXRD pattern is calculated, not measured: it uses DFT lattice parameters and positions (PBE) and Cu Kα (weighted mean of Kα1 and Kα2).
No peak broadening, texture or thermal motion is included.

Main lines, low angle first (15° ≤ 2θ ≤ 90°):
hkl  Position (°2θ)  intensity
1 0 0  21.5  1000
0 1 1  29.5  270
0 1 -2  30.1  265
0 2 -1  36.7  994
-1 1 2  38.2  887
1 -1 2  38.7  854
2 0 -1  40.7  742
2 -2 0  44.1  584
1 1 1  44.9  634
1 1 -3  45.6  523

Structure:
Unit cell a=4.7587 b=5.2493 c=6.3242 alpha=105.07 beta=103.27 gamma=111.21
Space group P-1 (No. 2)
Symmetry-distinct sites (fractional):
Al (0.0000, 0.0000, 0.0000)
Al (0.1240, 0.6231, 0.2514)
Zn (0.2492, 0.2494, 0.4996)
Ag (0.3719, 0.8736, 0.7410)
Ag (0.5000, 0.5000, 0.0000)



(6)
Diffraction record for Al3Zn8Ag2. The PXRD pattern is calculated, not measured: it uses DFT lattice parameters and positions (PBE) and Cu Kα (weighted mean of Kα1 and Kα2).
No peak broadening, texture or thermal motion is included.

Main lines, low angle first (15° ≤ 2θ ≤ 90°):
hkl  Position (°2θ)  intensity
1 0 4  23.8  293
0 0 9  25.5  233
1 1 0  36.7  262
1 1 3  37.7  452
0 1 11  37.9  812
1 1 6  40.6  209
2 0 2  43.0  1000
0 2 7  47.4  241
1 2 11  66.9  284
2 2 0  78.0  216

Structure:
Unit cell a=4.9013 b=4.9013 c=31.4573 alpha=90.00 beta=90.00 gamma=120.00
Space group R-3m (No. 166, hexagonal axes)
Symmetry-distinct sites (fractional):
Al (0.0000, 0.0000, 0.0000)
Al (0.0000, 0.0000, 0.1834)
Zn (0.0000, 0.0000, 0.2735)
Zn (0.0009, 0.5004, 0.2291)
Ag (0.0000, 0.0000, 0.3567)



(7)
Diffraction record for Al4ZnAg. The PXRD pattern is calculated, not measured: it uses DFT lattice parameters and positions (PBE) and Cu Kα (weighted mean of Kα1 and Kα2).
No peak broadening, texture or thermal motion is included.

Main lines, low angle first (15° ≤ 2θ ≤ 90°):
hkl  Position (°2θ)  intensity
1 0 1  15.1  699
2 0 0  18.9  871
1 1 1  34.8  405
2 1 0  36.8  672
1 0 3  37.0  648
4 0 0  38.3  747
2 1 1  38.7  422
2 0 3  40.7  1000
2 1 2  44.1  343
3 0 3  46.3  327

Structure:
Unit cell a=9.3895 b=2.8638 c=7.5501 alpha=90.00 beta=90.00 gamma=90.00
Space group Pmma (No. 51)
Symmetry-distinct sites (fractional):
Al (0.0000, 0.0000, 0.0000)
Al (0.0075, 0.5000, 0.3228)
Al (0.2500, 0.5000, 0.8888)
Zn (0.2500, 0.0000, 0.5717)
Ag (0.2500, 0.0000, 0.2145)



(8)
Diffraction record for Al3Zn3Ag2. The PXRD pattern is calculated, not measured: it uses DFT lattice parameters and positions (PBE) and Cu Kα (weighted mean of Kα1 and Kα2).
No peak broadening, texture or thermal motion is included.

Main lines, low angle first (15° ≤ 2θ ≤ 90°):
hkl  Position (°2θ)  intensity
2 0 0  16.6  290
1 1 0  20.6  286
1 1 -1  25.3  234
1 1 1  30.3  324
2 0 -2  33.6  933
0 2 0  38.3  695
1 1 -2  39.7  303
3 1 1  42.3  993
5 1 -1  42.5  1000
2 2 -2  51.8  518

Structure:
Unit cell a=11.9402 b=4.6978 c=5.3384 alpha=90.00 beta=116.27 gamma=90.00
Space group C2/m (No. 12)
Symmetry-distinct sites (fractional):
Al (0.0000, 0.0000, 0.0000)
Al (0.1245, 0.0000, 0.6459)
Zn (0.0000, 0.5000, 0.5000)
Zn (0.1210, 0.5000, 0.0919)
Ag (0.2497, 0.0000, 0.2872)



(9)
Diffraction record for AlZn6Ag8. The PXRD pattern is calculated, not measured: it uses DFT lattice parameters and positions (PBE) and Cu Kα (weighted mean of Kα1 and Kα2).
No peak broadening, texture or thermal motion is included.

Main lines, low angle first (15° ≤ 2θ ≤ 90°):
hkl  Position (°2θ)  intensity
0 1 2  17.3  17
1 1 0  23.3  105
2 -1 3  28.7  192
3 0 0  41.0  1000
2 2 3  50.8  47
4 -2 6  59.4  165
5 -1 3  67.2  55
3 3 0  74.7  304
3 0 12  84.2  22
6 0 0  88.9  92

Structure:
Unit cell a=7.6298 b=7.6298 c=16.1707 alpha=90.00 beta=90.00 gamma=120.00
Space group R-3 (No. 148, hexagonal axes)
Symmetry-distinct sites (fractional):
Al (0.0000, 0.0000, 0.0000)
Zn (0.0000, 0.3344, 0.2810)
Ag (0.0000, 0.0000, 0.3322)
Ag (0.0003, 0.3317, 0.1167)



(10)
Diffraction record for Zr4AlAg. The PXRD pattern is calculated, not measured: it uses DFT lattice parameters and positions (PBE) and Cu Kα (weighted mean of Kα1 and Kα2).
No peak broadening, texture or thermal motion is included.

Main lines, low angle first (15° ≤ 2θ ≤ 90°):
hkl  Position (°2θ)  intensity
1 1 1  23.4  284
0 0 2  26.9  138
2 0 0  27.2  272
2 0 2  38.6  1000
2 2 0  38.8  496
2 2 2  47.8  110
4 0 0  56.0  164
2 2 4  69.7  163
4 2 2  70.1  325
4 0 4  82.8  101

Structure:
Unit cell a=6.5613 b=6.5702 c=6.6254 alpha=90.00 beta=90.00 gamma=90.00
Space group Cmmm (No. 65)
Symmetry-distinct sites (fractional):
Zr (0.2500, 0.2500, 0.2438)
Al (0.0000, 0.0000, 0.0000)
Ag (0.0000, 0.5000, 0.5000)



(11)
Diffraction record for ZrAlAg. The PXRD pattern is calculated, not measured: it uses DFT lattice parameters and positions (PBE) and Cu Kα (weighted mean of Kα1 and Kα2).
No peak broadening, texture or thermal motion is included.

Main lines, low angle first (15° ≤ 2θ ≤ 90°):
hkl  Position (°2θ)  intensity
0 1 0  19.6  342
1 1 0  34.9  165
1 0 2  36.5  561
1 1 1  36.7  1000
0 1 3  39.2  870
0 2 0  39.8  418
1 2 2  55.1  328
1 1 5  69.1  196
1 3 1  70.2  139
2 1 3  73.2  258

Structure:
Unit cell a=3.1278 b=4.5310 c=8.0025 alpha=90.00 beta=90.00 gamma=90.00
Space group Pmmm (No. 47)
Symmetry-distinct sites (fractional):
Zr (0.0000, 0.0000, 0.0000)
Zr (0.0000, 0.5000, 0.5000)
Al (0.5000, 0.0000, 0.3344)
Ag (0.5000, 0.5000, 0.1714)



(12)
Diffraction record for Zr2AlAg2. The PXRD pattern is calculated, not measured: it uses DFT lattice parameters and positions (PBE) and Cu Kα (weighted mean of Kα1 and Kα2).
No peak broadening, texture or thermal motion is included.

Main lines, low angle first (15° ≤ 2θ ≤ 90°):
hkl  Position (°2θ)  intensity
1 1 0  18.2  177
2 0 0  25.9  71
2 1 1  36.0  1000
3 1 0  41.5  209
0 0 2  42.4  156
3 3 0  56.8  73
4 1 1  59.5  93
3 1 2  60.8  129
3 3 2  73.4  181
5 2 1  78.1  124

Structure:
Unit cell a=6.8788 b=6.8788 c=4.2649 alpha=90.00 beta=90.00 gamma=90.00
Space group P4/mbm (No. 127)
Symmetry-distinct sites (fractional):
Zr (0.1661, 0.3339, 0.0000)
Al (0.0000, 0.0000, 0.5000)
Ag (0.1400, 0.6400, 0.5000)